[1]
The following is a simulated XRD peak list of Ca2Hg3RuO6. It was derived from DFT lattice parameters and positions (PBE), using Cu Kα (weighted mean of Kα1 and Kα2).
Intensities are scaled so that the largest is 100.

Structural model:
```
Ca2Hg3RuO6
1.0
2.8902 -5.1011 0.0000
2.8902 5.1011 0.0000
-1.5255 0.0000 6.5220
Ca Hg Ru O
2 3 1 6
Cartesian
2.8902 3.4025 0.0000
2.8902 -3.4025 0.0000
-0.7628 0.0000 3.2610
2.1274 1.5489 3.2610
2.1274 -1.5489 3.2610
2.8902 0.0000 0.0000
-0.3304 0.0000 5.4655
2.0664 1.4872 1.1154
2.1885 1.4872 5.4066
2.0664 -1.4872 1.1154
2.1885 -1.4872 5.4066
4.5853 0.0000 1.0565
```

Top 12 peaks for 2θ from 10° to 90°, sorted by position:
- 6.522 Å, I 68
- 3.261 Å, I 64
- 2.911 Å, I 38
- 2.829 Å, I 20
- 2.814 Å, I 51
- 2.783 Å, I 100
- 2.549 Å, I 59
- 2.421 Å, I 27
- 1.925 Å, I 20
- 1.849 Å, I 33
- 1.674 Å, I 24
- 1.651 Å, I 23

***

[2]
The following is a simulated XRD peak list of PuTa3. It was derived from DFT lattice parameters and positions (PBE), using Cu Kα (weighted mean of Kα1 and Kα2).
Intensities are scaled so that the largest is 100.

Structural model:
```
PuTa3
1.0
6.7521 0.0000 0.0000
0.0000 6.7521 0.0000
0.0000 0.0000 6.7521
Pu Ta
4 12
Cartesian
0.0000 0.0000 0.0000
0.0000 3.3760 3.3760
3.3760 0.0000 3.3760
3.3760 3.3760 0.0000
0.0000 0.0000 3.3760
0.0000 3.3760 0.0000
1.6880 1.6880 1.6880
1.6880 1.6880 5.0641
1.6880 5.0641 1.6880
1.6880 5.0641 5.0641
3.3760 0.0000 0.0000
3.3760 3.3760 3.3760
5.0641 1.6880 1.6880
5.0641 1.6880 5.0641
5.0641 5.0641 1.6880
5.0641 5.0641 5.0641
```

Top 7 peaks for 2θ from 10° to 90°, sorted by position:
- 3.898 Å, I 1
- 3.376 Å, I 1
- 2.387 Å, I 100
- 2.036 Å, I 1
- 1.688 Å, I 18
- 1.378 Å, I 36
- 1.194 Å, I 12

***

[3]
The following is a simulated XRD peak list of Li3Ni4H9. It was derived from DFT lattice parameters and positions (PBE), using Cu Kα (weighted mean of Kα1 and Kα2).
Intensities are scaled so that the largest is 100.

Structural model:
```
Li3Ni4H9
1.0
2.2558 1.3024 6.4177
-2.2558 1.3024 6.4177
0.0000 -2.6047 6.4177
Li Ni H
3 4 9
Cartesian
0.0000 0.0000 0.0000
0.0000 0.0000 8.1676
0.0000 0.0000 11.0854
0.0000 0.0000 3.0515
0.0000 0.0000 5.4797
0.0000 0.0000 13.7733
0.0000 0.0000 16.2015
-1.1246 -0.6568 6.4177
-1.0927 0.6260 4.3363
0.0042 -1.2593 4.3363
-1.0927 -0.6260 14.9167
-0.0065 1.3024 6.4177
1.1311 -0.6456 6.4177
1.0885 0.6333 4.3363
1.0885 -0.6333 14.9167
0.0042 1.2593 14.9167
```

Top 12 peaks for 2θ from 10° to 90°, sorted by position:
- 6.418 Å, I 10
- 3.620 Å, I 100
- 2.256 Å, I 73
- 2.249 Å, I 58
- 2.139 Å, I 13
- 1.915 Å, I 14
- 1.593 Å, I 20
- 1.552 Å, I 30
- 1.460 Å, I 12
- 1.302 Å, I 12
- 1.301 Å, I 18
- 1.112 Å, I 9

***

[4]
The following is a simulated XRD peak list of La6YS8. It was derived from DFT lattice parameters and positions (PBE), using Cu Kα (weighted mean of Kα1 and Kα2).
Intensities are scaled so that the largest is 100.

Structural model:
```
La6YS8
1.0
0.0000 5.8488 5.8488
5.8488 0.0000 5.8488
5.8488 5.8488 0.0000
La Y S
6 1 8
Cartesian
2.9244 2.9244 0.0000
2.9244 0.0000 2.9244
5.8488 2.9244 2.9244
0.0000 2.9244 2.9244
2.9244 5.8488 2.9244
2.9244 2.9244 5.8488
0.0000 0.0000 0.0000
5.8488 5.8488 2.7898
5.8488 2.7898 5.8488
8.9078 5.8488 5.8488
2.9244 2.9244 2.9244
8.7732 8.7732 8.7732
2.7898 5.8488 5.8488
5.8488 8.9078 5.8488
5.8488 5.8488 8.9078
```

Top 12 peaks for 2θ from 10° to 90°, sorted by position:
- 5.849 Å, I 13
- 4.136 Å, I 11
- 3.377 Å, I 57
- 2.924 Å, I 100
- 2.068 Å, I 72
- 1.763 Å, I 29
- 1.688 Å, I 25
- 1.462 Å, I 11
- 1.342 Å, I 12
- 1.308 Å, I 31
- 1.194 Å, I 23
- 1.126 Å, I 9

***

[5]
The following is a simulated XRD peak list of La3Tl2I. It was derived from DFT lattice parameters and positions (PBE), using Cu Kα (weighted mean of Kα1 and Kα2).
Intensities are scaled so that the largest is 100.

Structural model:
```
La3Tl2I
1.0
3.7887 0.0000 0.0000
0.0000 3.7887 0.0000
0.0000 0.0000 13.2256
La Tl I
3 2 1
Cartesian
0.0000 0.0000 0.0000
0.0000 0.0000 4.3163
0.0000 0.0000 8.9093
1.8943 1.8943 2.2324
1.8943 1.8943 10.9932
1.8943 1.8943 6.6128
```

Top 12 peaks for 2θ from 10° to 90°, sorted by position:
- 2.873 Å, I 100
- 2.679 Å, I 42
- 2.204 Å, I 12
- 1.894 Å, I 15
- 1.702 Å, I 21
- 1.582 Å, I 34
- 1.437 Å, I 12
- 1.370 Å, I 10
- 1.214 Å, I 7
- 1.198 Å, I 7
- 1.145 Å, I 6
- 1.110 Å, I 11

***

[6]
The following is a simulated XRD peak list of KLaH8Pt2. It was derived from DFT lattice parameters and positions (PBE), using Cu Kα (weighted mean of Kα1 and Kα2).
Intensities are scaled so that the largest is 100.

Structural model:
```
KLaH8Pt2
1.0
2.1742 1.2553 9.3228
-2.1742 1.2553 9.3228
0.0000 -2.5105 9.3228
K La H Pt
1 1 8 2
Cartesian
0.0000 0.0000 0.0000
0.0000 0.0000 13.9842
-0.9819 -0.5669 11.0621
0.0000 0.0000 4.9576
0.0000 -1.1338 16.9064
-0.9819 0.5669 16.9064
0.9819 -0.5669 11.0621
0.0000 1.1338 11.0621
0.0000 0.0000 23.0108
0.9819 0.5669 16.9064
0.0000 0.0000 6.6904
0.0000 0.0000 21.2781
```

Top 12 peaks for 2θ from 10° to 90°, sorted by position:
- 3.636 Å, I 17
- 3.316 Å, I 100
- 2.740 Å, I 15
- 2.562 Å, I 43
- 2.174 Å, I 33
- 2.107 Å, I 12
- 1.818 Å, I 18
- 1.658 Å, I 11
- 1.590 Å, I 15
- 1.416 Å, I 14
- 1.395 Å, I 15
- 1.318 Å, I 11

***

[7]
The following is a simulated XRD peak list of K2Rb4Ag2O. It was derived from DFT lattice parameters and positions (PBE), using Cu Kα (weighted mean of Kα1 and Kα2).
Intensities are scaled so that the largest is 100.

Structural model:
```
K2Rb4Ag2O
1.0
6.9281 -4.0554 0.0000
6.9281 4.0554 0.0000
-0.7664 0.0000 6.8699
K Rb Ag O
2 4 2 1
Cartesian
1.9920 0.0000 1.7165
11.0979 0.0000 5.1534
5.6139 2.0739 1.4013
7.4759 2.0739 5.4686
5.6139 -2.0739 1.4013
7.4759 -2.0739 5.4686
3.9786 0.0000 5.1251
9.1113 0.0000 1.7448
0.0000 0.0000 0.0000
```

Top 12 peaks for 2θ from 10° to 90°, sorted by position:
- 4.767 Å, I 22
- 3.494 Å, I 45
- 3.437 Å, I 88
- 3.224 Å, I 63
- 3.188 Å, I 92
- 3.046 Å, I 100
- 2.949 Å, I 43
- 2.522 Å, I 43
- 1.997 Å, I 45
- 1.868 Å, I 25
- 1.746 Å, I 23
- 1.716 Å, I 31

***

[8]
The following is a simulated XRD peak list of KPrCN2. It was derived from DFT lattice parameters and positions (PBE), using Cu Kα (weighted mean of Kα1 and Kα2).
Intensities are scaled so that the largest is 100.

Structural model:
```
KPrCN2
1.0
3.4579 0.0000 0.0000
0.0000 4.6181 0.0000
0.0000 0.0000 6.3297
K Pr C N
1 1 1 2
Cartesian
0.0000 0.0000 0.0000
0.0000 2.3091 3.1649
1.7290 2.3091 0.0000
1.7290 2.3091 1.2414
1.7290 2.3091 5.0883
```

Top 12 peaks for 2θ from 10° to 90°, sorted by position:
- 6.330 Å, I 32
- 4.618 Å, I 59
- 3.731 Å, I 89
- 3.458 Å, I 28
- 3.165 Å, I 33
- 3.035 Å, I 29
- 2.536 Å, I 100
- 2.335 Å, I 36
- 2.309 Å, I 22
- 1.920 Å, I 31
- 1.678 Å, I 20
- 1.642 Å, I 23